(1)
For Cs3Be2H8, a structure optimized by DFT (GGA-PBE) gives the computed powder diffractogram in this record (Cu Ka).
Neutral-atom scattering factors, no anomalous dispersion.

Principal peaks in the range 10 to 90 degrees two-theta, in order of rising 2θ:
2θ = 17.45°, intensity 56; 2θ = 23.65°, intensity 89; 2θ = 26.72°, intensity 100; 2θ = 29.59°, intensity 94; 2θ = 38.22°, intensity 27; 2θ = 40.29°, intensity 33; 2θ = 48.36°, intensity 44; 2θ = 49.06°, intensity 24; 2θ = 50.77°, intensity 33; 2θ = 52.49°, intensity 18

Structure:
a b c (Å): 8.0185 8.0185 8.0185
angles (deg): 44.24 44.24 44.24
Atoms (fractional coordinates):
Cs: 0.0000 0.0000 0.0000
Cs: 0.2164 0.2164 0.2164
Cs: 0.7836 0.7836 0.7836
Be: 0.4314 0.4314 0.4314
Be: 0.5686 0.5686 0.5686
H: 0.2853 0.6965 0.6965
H: 0.3035 0.3035 0.7147
H: 0.3035 0.7147 0.3035
H: 0.3620 0.3620 0.3620
H: 0.6380 0.6380 0.6380
H: 0.6965 0.2853 0.6965
H: 0.6965 0.6965 0.2853
H: 0.7147 0.3035 0.3035



(2)
For Th2TiAlNi6, a structure optimized by DFT (GGA-PBE) gives the computed powder diffractogram in this record (Cu Ka).
Neutral-atom scattering factors, no anomalous dispersion.

Principal peaks in the range 10 to 90 degrees two-theta, in order of rising 2θ:
2θ = 11.98°, intensity 37; 2θ = 20.82°, intensity 42; 2θ = 24.08°, intensity 78; 2θ = 25.06°, intensity 38; 2θ = 27.83°, intensity 30; 2θ = 33.57°, intensity 44; 2θ = 39.83°, intensity 100; 2θ = 42.30°, intensity 68; 2θ = 42.47°, intensity 36; 2θ = 70.56°, intensity 26

Structure:
a b c (Å): 5.3375 5.3390 7.9950
angles (deg): 109.16 90.26 119.96
Atoms (fractional coordinates):
Th: 0.2288 0.4492 0.1764
Th: 0.7712 0.5508 0.8236
Ti: 0.0000 0.0000 0.5000
Al: 0.5000 0.0000 0.0000
Ni: 0.2442 0.0146 0.7602
Ni: 0.2446 0.5012 0.7505
Ni: 0.2517 0.9958 0.2501
Ni: 0.7483 0.0042 0.7499
Ni: 0.7554 0.4988 0.2495
Ni: 0.7558 0.9854 0.2398



(3)
For Pa2In8Pd, a structure optimized by DFT (GGA-PBE) gives the computed powder diffractogram in this record (Cu Ka).
Neutral-atom scattering factors, no anomalous dispersion.

Principal peaks in the range 10 to 90 degrees two-theta, in order of rising 2θ:
2θ = 18.93°, intensity 14; 2θ = 30.74°, intensity 30; 2θ = 35.00°, intensity 100; 2θ = 37.05°, intensity 15; 2θ = 38.40°, intensity 50; 2θ = 54.42°, intensity 19; 2θ = 55.44°, intensity 17; 2θ = 67.26°, intensity 31; 2θ = 67.97°, intensity 13; 2θ = 68.56°, intensity 9

Structure:
a b c (Å): 4.6881 4.6881 12.1326
angles (deg): 90.00 90.00 90.00
Atoms (fractional coordinates):
Pa: 0.0000 0.0000 0.1885
Pa: 0.0000 0.0000 0.8115
In: 0.0000 0.5000 0.0000
In: 0.0000 0.5000 0.3734
In: 0.0000 0.5000 0.6266
In: 0.5000 0.0000 0.0000
In: 0.5000 0.0000 0.3734
In: 0.5000 0.0000 0.6266
In: 0.5000 0.5000 0.1882
In: 0.5000 0.5000 0.8118
Pd: 0.0000 0.0000 0.5000



(4)
For Ca2MnAs2, a structure optimized by DFT (GGA-PBE) gives the computed powder diffractogram in this record (Cu Ka).
Neutral-atom scattering factors, no anomalous dispersion.

Principal peaks in the range 10 to 90 degrees two-theta, in order of rising 2θ:
2θ = 14.48°, intensity 32; 2θ = 15.25°, intensity 44; 2θ = 24.69°, intensity 60; 2θ = 27.01°, intensity 46; 2θ = 29.20°, intensity 51; 2θ = 29.49°, intensity 57; 2θ = 31.72°, intensity 35; 2θ = 40.20°, intensity 89; 2θ = 40.42°, intensity 94; 2θ = 41.98°, intensity 100

Structure:
a b c (Å): 7.5814 7.5814 7.5814
angles (deg): 128.37 72.45 132.91
Atoms (fractional coordinates):
Ca: 0.1419 0.1817 0.3236
Ca: 0.3581 0.6817 0.0398
Ca: 0.6419 0.3183 0.9602
Ca: 0.8581 0.8183 0.6764
Mn: 0.2500 0.7500 0.5000
Mn: 0.7500 0.2500 0.5000
As: 0.1150 0.7269 0.8419
As: 0.3850 0.2269 0.6119
As: 0.6150 0.7731 0.3881
As: 0.8850 0.2731 0.1581



(5)
For Al2AgTe, a structure optimized by DFT (GGA-PBE) gives the computed powder diffractogram in this record (Cu Ka).
Neutral-atom scattering factors, no anomalous dispersion.

Principal peaks in the range 10 to 90 degrees two-theta, in order of rising 2θ:
2θ = 22.40°, intensity 63; 2θ = 35.33°, intensity 100; 2θ = 37.67°, intensity 17; 2θ = 40.13°, intensity 35; 2θ = 42.78°, intensity 14; 2θ = 46.44°, intensity 18; 2θ = 58.05°, intensity 11; 2θ = 60.09°, intensity 21; 2θ = 69.82°, intensity 26; 2θ = 73.51°, intensity 11

Structure:
a b c (Å): 5.2889 5.2889 5.2889
angles (deg): 129.72 129.72 73.86
Atoms (fractional coordinates):
Al: 0.0000 0.0000 0.0000
Al: 0.7500 0.2500 0.5000
Ag: 0.5000 0.5000 0.0000
Te: 0.2500 0.7500 0.5000



(6)
For Li2Pr2Pd5, a structure optimized by DFT (GGA-PBE) gives the computed powder diffractogram in this record (Cu Ka).
Neutral-atom scattering factors, no anomalous dispersion.

Principal peaks in the range 10 to 90 degrees two-theta, in order of rising 2θ:
2θ = 10.57°, intensity 11; 2θ = 19.91°, intensity 9; 2θ = 35.64°, intensity 100; 2θ = 40.45°, intensity 37; 2θ = 43.23°, intensity 17; 2θ = 58.54°, intensity 12; 2θ = 60.68°, intensity 20; 2θ = 70.45°, intensity 27; 2θ = 74.33°, intensity 11; 2θ = 75.49°, intensity 12

Structure:
a b c (Å): 4.4598 4.4598 8.3731
angles (deg): 90.00 90.00 90.00
Atoms (fractional coordinates):
Li: 0.0000 0.0000 0.1500
Li: 0.0000 0.0000 0.8500
Pr: 0.5000 0.5000 0.0000
Pr: 0.5000 0.5000 0.5000
Pd: 0.0000 0.0000 0.5000
Pd: 0.0000 0.5000 0.2601
Pd: 0.0000 0.5000 0.7399
Pd: 0.5000 0.0000 0.2601
Pd: 0.5000 0.0000 0.7399



(7)
For Ho4U3S8, a structure optimized by DFT (GGA-PBE) gives the computed powder diffractogram in this record (Cu Ka).
Neutral-atom scattering factors, no anomalous dispersion.

Principal peaks in the range 10 to 90 degrees two-theta, in order of rising 2θ:
2θ = 14.00°, intensity 12; 2θ = 16.18°, intensity 13; 2θ = 28.23°, intensity 85; 2θ = 32.71°, intensity 100; 2θ = 46.93°, intensity 72; 2θ = 55.67°, intensity 42; 2θ = 58.37°, intensity 25; 2θ = 75.70°, intensity 18; 2θ = 78.03°, intensity 28; 2θ = 87.21°, intensity 26

Structure:
a b c (Å): 7.7416 7.7416 7.7440
angles (deg): 119.97 119.97 90.02
Atoms (fractional coordinates):
Ho: 0.0000 0.0000 0.0000
Ho: 0.0000 0.5000 0.0000
Ho: 0.5000 0.0000 0.0000
Ho: 0.5000 0.5000 0.5000
U: 0.0000 0.0000 0.5000
U: 0.0000 0.5000 0.5000
U: 0.5000 0.0000 0.5000
S: 0.2512 0.7488 0.5000
S: 0.2522 0.2522 0.0009
S: 0.2515 0.7485 0.0000
S: 0.2528 0.2528 0.5029
S: 0.7472 0.7472 0.4971
S: 0.7485 0.2515 0.0000
S: 0.7478 0.7478 0.9991
S: 0.7488 0.2512 0.5000



(8)
For Rb3Mg4, a structure optimized by DFT (GGA-PBE) gives the computed powder diffractogram in this record (Cu Ka).
Neutral-atom scattering factors, no anomalous dispersion.

Principal peaks in the range 10 to 90 degrees two-theta, in order of rising 2θ:
2θ = 22.60°, intensity 100; 2θ = 24.33°, intensity 35; 2θ = 27.42°, intensity 64; 2θ = 30.41°, intensity 67; 2θ = 30.77°, intensity 39; 2θ = 39.34°, intensity 46; 2θ = 43.55°, intensity 24; 2θ = 49.61°, intensity 23; 2θ = 50.54°, intensity 33; 2θ = 52.37°, intensity 22

Structure:
a b c (Å): 18.5253 18.5253 18.5253
angles (deg): 167.12 167.12 18.26
Atoms (fractional coordinates):
Rb: 0.0000 0.0000 0.0000
Rb: 0.3111 0.3111 0.0000
Rb: 0.6889 0.6889 0.0000
Mg: 0.1110 0.1110 0.0000
Mg: 0.4194 0.4194 0.0000
Mg: 0.5806 0.5806 0.0000
Mg: 0.8890 0.8890 0.0000